1.
# YScCuAg
Theoretical powder X-ray diffraction pattern, Cu Kα X-rays. Input: a DFT-relaxed cell (GGA-PBE, Alexandria).
No peak broadening, texture or thermal motion is included.

Crystal structure
```
data_YScCuAg
_symmetry_space_group_name_H-M 'P 4 m m'
_symmetry_Int_Tables_number 99
_cell_length_a 3.436
_cell_length_b 3.436
_cell_length_c 7.007
_cell_angle_alpha 90.00
_cell_angle_beta 90.00
_cell_angle_gamma 90.00
loop_
_symmetry_equiv_pos_as_xyz
'x,y,z'
'-y,x,z'
'-x,-y,z'
'y,-x,z'
'-x,y,z'
'y,x,z'
'x,-y,z'
'-y,-x,z'
loop_
_atom_site_label
_atom_site_fract_x
_atom_site_fract_y
_atom_site_fract_z
Y1 0.000 0.000 0.000
Sc1 0.000 0.000 0.472
Cu1 0.500 0.500 0.265
Ag1 0.500 0.500 0.711
```

Largest 10 diffraction maxima, in order of rising 2θ, 15° ≤ 2θ ≤ 90°:
| two_theta | I (rel.) |
| --- | --- |
| 28.94 | 179 |
| 36.63 | 1000 |
| 37.00 | 526 |
| 52.22 | 67 |
| 53.33 | 174 |
| 54.50 | 77 |
| 65.72 | 128 |
| 66.44 | 318 |
| 77.89 | 77 |
| 78.79 | 60 |

2.
# Pr3Al2Au3
Theoretical powder X-ray diffraction pattern, Cu Kα X-rays. Input: a DFT-relaxed cell (GGA-PBE, Alexandria).
No peak broadening, texture or thermal motion is included.

Crystal structure
```
data_Pr3Al2Au3
_symmetry_space_group_name_H-M 'C m c m'
_symmetry_Int_Tables_number 63
_symmetry_space_group_name_Hall '-C 2c 2'
_cell_length_a 4.563
_cell_length_b 11.109
_cell_length_c 15.182
_cell_angle_alpha 90.00
_cell_angle_beta 90.00
_cell_angle_gamma 90.00
loop_
_atom_site_label
_atom_site_fract_x
_atom_site_fract_y
_atom_site_fract_z
Pr1 0.000 0.086 0.106
Pr2 0.000 0.389 0.250
Al1 0.000 0.209 0.595
Au1 0.000 0.323 0.750
Au2 0.000 0.381 0.044
```

Largest 10 diffraction maxima, in order of rising 2θ, 15° ≤ 2θ ≤ 90°:
| two_theta | I (rel.) |
| --- | --- |
| 27.52 | 379 |
| 31.10 | 220 |
| 31.69 | 1000 |
| 32.23 | 236 |
| 33.64 | 152 |
| 35.92 | 189 |
| 39.31 | 191 |
| 39.50 | 318 |
| 43.34 | 153 |
| 44.86 | 146 |